The following is a simulated powder diffraction line list of Na3LiMn5O9. It was derived from the GGA+U geometry in Alexandria, using copper Kα.

Structural model:
a = 5.3492 Å, b = 5.3522 Å, c = 8.4810 Å
α = 71.67°, β = 72.10°, γ = 60.89°
Atoms (fractional coordinates):
Na (0.0000, 0.0000, 0.0000)
Na (0.3224, 0.3319, 0.9992)
Na (0.6535, 0.6726, 0.0027)
Li (0.4260, 0.1062, 0.6918)
Mn (0.0777, 0.8050, 0.6741)
Mn (0.2015, 0.5623, 0.3435)
Mn (0.5402, 0.8992, 0.3396)
Mn (0.7391, 0.4663, 0.6744)
Mn (0.8671, 0.2264, 0.3404)
O (0.0274, 0.4423, 0.7855)
O (0.0760, 0.1972, 0.5135)
O (0.2747, 0.9389, 0.2080)
O (0.3990, 0.7212, 0.8063)
O (0.4536, 0.5757, 0.5132)
O (0.5962, 0.2553, 0.2119)
O (0.7364, 0.0571, 0.8056)
O (0.7901, 0.8807, 0.4836)
O (0.9163, 0.5768, 0.2088)

Largest 12 diffraction maxima, by angle, 2θ from 15° to 90°:
- d = 4.588 Å, 2θ = 19.3°, rel. 9
- d = 3.955 Å, 2θ = 22.5°, rel. 16
- d = 2.637 Å, 2θ = 34.0°, rel. 20
- d = 2.559 Å, 2θ = 35.1°, rel. 17
- d = 2.537 Å, 2θ = 35.4°, rel. 31
- d = 2.244 Å, 2θ = 40.2°, rel. 53
- d = 2.212 Å, 2θ = 40.8°, rel. 100
- d = 1.594 Å, 2θ = 57.8°, rel. 14
- d = 1.592 Å, 2θ = 57.9°, rel. 27
- d = 1.558 Å, 2θ = 59.3°, rel. 27
- d = 1.538 Å, 2θ = 60.2°, rel. 14
- d = 1.319 Å, 2θ = 71.6°, rel. 9